V6Mo: theoretical powder diffractogram (Cu Kα (weighted mean of Kα1 and Kα2)), based on a structure optimized by DFT (GGA-PBE).
Neutral-atom scattering factors, no anomalous dispersion.

Peak list (8 most intense, 15° ≤ 2θ ≤ 90°, in order of falling intensity)
| 2θ/deg | Rel. int. |
| --- | --- |
| 42.1 | 100 |
| 42.4 | 98 |
| 61.3 | 30 |
| 77.4 | 29 |
| 76.7 | 15 |
| 77.7 | 15 |
| 15.7 | 13 |
| 27.4 | 6 |

Atomic structure:
```
7
Lattice="5.6348 3.2532 0.8793 -5.6348 3.2532 0.8793 0.0000 -6.5065 0.8793" Properties=species:S:1:pos:R:3 pbc="T T T"
V -3.9977 -1.3754 1.2984
V -0.8077 -4.1497 1.3397
V -3.1899 2.7744 1.3397
V 3.1899 -2.7744 1.2984
V 0.8077 4.1497 1.2984
V 3.9976 1.3754 1.3397
Mo 0.0000 0.0000 1.3190
```